No. 1
Diffraction record for BaCaHfZrO6. The XRD peak list is calculated, not measured: it uses a structure optimized by DFT (PBE) and copper Kα.

The 12 most intense peaks (2θ = 10–80°), low angle first:
d (Å)  Rel. int.
4.831  19
4.184  12
2.959  100
2.523  11
2.092  32
1.920  5
1.871  5
1.708  40
1.610  4
1.479  20
1.323  17
1.208  6

Structural model:
Lattice parameters (Å, degrees): 5.9172 5.9172 5.9172 60.00 60.00 60.00
Positions (direct):
Ba 0.0000 0.0000 0.0000
Ca 0.5000 0.5000 0.5000
Hf 0.7500 0.7500 0.7500
Zr 0.2500 0.2500 0.2500
O 0.5018 0.5018 0.9982
O 0.5018 0.9982 0.5018
O 0.5018 0.9982 0.9982
O 0.9982 0.5018 0.5018
O 0.9982 0.5018 0.9982
O 0.9982 0.9982 0.5018


No. 2
Diffraction record for CsAgCl2. The XRD peak list is calculated, not measured: it uses a structure optimized by DFT (PBE) and copper Kα.

The 12 most intense peaks (2θ = 10–80°), low angle first:
d (Å)  Rel. int.
3.632  100
3.584  69
3.335  14
2.939  26
2.797  68
2.568  66
2.087  32
1.892  42
1.816  22
1.753  31
1.624  19
1.261  20

Structural model:
Lattice parameters (Å, degrees): 5.1359 5.1359 10.0052 90.00 90.00 90.00
Positions (direct):
Cs 0.2500 0.2500 0.2011
Cs 0.7500 0.7500 0.7989
Ag 0.2500 0.2500 0.5986
Ag 0.7500 0.7500 0.4014
Cl 0.2500 0.2500 0.8533
Cl 0.2500 0.7500 0.5000
Cl 0.7500 0.2500 0.5000
Cl 0.7500 0.7500 0.1467


No. 3
Diffraction record for Al2SiO6. The XRD peak list is calculated, not measured: it uses a structure optimized by DFT (PBE) and copper Kα.

The 12 most intense peaks (2θ = 10–80°), low angle first:
d (Å)  Rel. int.
3.729  88
3.261  88
3.133  34
2.979  100
2.427  49
2.151  45
2.070  22
1.905  46
1.697  35
1.552  32
1.465  42
1.360  32

Structural model:
Lattice parameters (Å, degrees): 9.1711 8.5834 4.6390 90.00 90.00 90.00
Positions (direct):
Al 0.1264 0.0824 0.1000
Al 0.1264 0.4176 0.1000
Al 0.3736 0.5824 0.6000
Al 0.3736 0.9176 0.6000
Al 0.6264 0.0824 0.4000
Al 0.6264 0.4176 0.4000
Al 0.8736 0.5824 0.9000
Al 0.8736 0.9176 0.9000
Si 0.0623 0.7500 0.3979
Si 0.4377 0.2500 0.8979
Si 0.5623 0.7500 0.1021
Si 0.9377 0.2500 0.6021
O 0.0130 0.5955 0.2082
O 0.0130 0.9045 0.2082
O 0.0320 0.2500 0.2978
O 0.2422 0.7500 0.4625
O 0.2440 0.5462 0.8908
O 0.2440 0.9538 0.8908
O 0.2560 0.0462 0.3908
O 0.2560 0.4538 0.3908
O 0.2578 0.2500 0.9625
O 0.4680 0.7500 0.7978
O 0.4870 0.0955 0.7082
O 0.4870 0.4045 0.7082
O 0.5130 0.5955 0.2918
O 0.5130 0.9045 0.2918
O 0.5320 0.2500 0.2022
O 0.7422 0.7500 0.0375
O 0.7440 0.5462 0.6092
O 0.7440 0.9538 0.6092
O 0.7560 0.0462 0.1092
O 0.7560 0.4538 0.1092
O 0.7578 0.2500 0.5375
O 0.9680 0.7500 0.7022
O 0.9870 0.0955 0.7918
O 0.9870 0.4045 0.7918


Number 1 is which compound? BaCaHfZrO6